# 1
For Na5ScC4O14, a DFT-relaxed cell (PBE, the Materials Project) gives the computed XRD peak list in this record (copper Kα).
Neutral-atom scattering factors, no anomalous dispersion.

Top 10 peaks for 10 to 90 degrees two-theta, low angle first:
hkl	Position (°2θ)	d_spacing	Rel. int.
1 0 1	14.12	6.270	47
1 1 0	16.80	5.278	16
1 1 2	22.82	3.897	49
2 1 2	30.94	2.891	100
2 2 0	33.97	2.639	26
3 1 2	41.32	2.185	35
2 2 4	46.61	1.949	23
3 1 4	49.89	1.828	25
1 1 6	50.42	1.810	28
4 1 2	53.01	1.728	16

Atomic structure:
Cell: 7.464 7.464 11.559 Å, 90.00 90.00 90.00°
Space group P-42_1c (No. 114)
Asymmetric unit:
Na: 0.000 0.000 0.000 x2
Na: 0.193 0.304 0.708 x8
Sc: 0.000 0.000 0.500 x2
C: 0.173 0.713 0.579 x8
O: 0.000 0.500 0.340 x4
O: 0.085 0.764 0.121 x8
O: 0.087 0.828 0.645 x8
O: 0.158 0.746 0.468 x8

---

# 2
For CsCaCO3F, a DFT-relaxed cell (PBE, the Materials Project) gives the computed XRD peak list in this record (copper Kα).
Neutral-atom scattering factors, no anomalous dispersion.

Top 10 peaks for 10 to 90 degrees two-theta, low angle first:
hkl	Position (°2θ)	d_spacing	Rel. int.
1 1 0	18.90	4.696	35
1 1 1	27.13	3.287	100
2 1 0	29.05	3.074	31
3 0 0	33.04	2.711	24
2 1 1	35.10	2.556	31
0 0 2	39.14	2.301	20
3 2 0	48.81	1.866	12
2 1 2	49.47	1.842	14
3 0 2	52.13	1.755	12
3 2 1	52.95	1.729	13

Atomic structure:
Cell: 9.3919 9.3919 4.6028 Å, 90.00 90.00 120.00°
Space group P-62m (No. 189)
Asymmetric unit:
Cs: 0.0000 0.2764 0.0000 x3
Ca: 0.0000 0.6105 0.5000 x3
C: 0.0000 0.0000 0.5000 x1
C: 0.3333 0.6667 0.5000 x2
O: 0.0000 0.8618 0.5000 x3
O: 0.2086 0.5174 0.5000 x6
F: 0.0000 0.6114 0.0000 x3

---

# 3
For Nb3Cr8Si, a DFT-relaxed cell (PBE, the Materials Project) gives the computed XRD peak list in this record (copper Kα).
Neutral-atom scattering factors, no anomalous dispersion.

Top 10 peaks for 10 to 90 degrees two-theta, low angle first:
hkl	Position (°2θ)	d_spacing	Rel. int.
1 1 0	37.08	2.425	41
0 1 3	40.21	2.243	79
2 0 0	43.08	2.100	13
1 1 2	43.72	2.071	100
2 0 1	44.63	2.030	70
0 0 4	45.59	1.990	14
1 2 3	68.94	1.362	27
0 3 2	71.44	1.321	21
0 2 5	74.85	1.269	26
2 2 0	78.97	1.212	22

Atomic structure:
Cell: 4.8492 4.8492 7.9593 Å, 90.00 90.00 120.00°
Space group P3m1 (No. 156)
Asymmetric unit:
Nb: 0.0000 0.0000 0.0000 x1
Nb: 0.0000 0.0000 0.3850 x1
Nb: 0.6667 0.3333 0.8730 x1
Cr: 0.1644 0.3289 0.6868 x3
Cr: 0.3333 0.6667 0.4399 x1
Cr: 0.3333 0.6667 0.9410 x1
Cr: 0.5045 0.0091 0.1938 x3
Si: 0.6667 0.3333 0.5038 x1

---

# 4
For SmSi2Ni9, a DFT-relaxed cell (PBE, the Materials Project) gives the computed XRD peak list in this record (copper Kα).
Neutral-atom scattering factors, no anomalous dispersion.

Top 10 peaks for 10 to 90 degrees two-theta, low angle first:
hkl	Position (°2θ)	d_spacing	Rel. int.
2 2 0	25.73	3.462	9
3 0 1	30.99	2.886	11
1 1 2	31.74	2.819	9
3 2 1	36.13	2.486	15
4 2 0	41.27	2.188	100
1 0 3	45.02	2.014	15
4 0 2	47.40	1.918	10
5 0 1	48.78	1.867	19
4 2 2	51.15	1.786	10
5 5 2	75.20	1.263	15

Atomic structure:
Cell: 9.792 9.792 6.173 Å, 90.00 90.00 90.00°
Space group I4_1/amd (No. 141, origin choice 2)
Asymmetric unit:
Sm: 0.000 0.250 0.375 x4
Si: 0.000 0.000 0.000 x8
Ni: 0.000 0.250 0.875 x4
Ni: 0.124 0.046 0.688 x32

---

# 5
For YSiRh2, a DFT-relaxed cell (PBE, the Materials Project) gives the computed XRD peak list in this record (copper Kα).
Neutral-atom scattering factors, no anomalous dispersion.

Top 10 peaks for 10 to 90 degrees two-theta, low angle first:
hkl	Position (°2θ)	d_spacing	Rel. int.
0 0 4	23.47	3.790	28
1 0 5	34.97	2.566	62
2 0 0	37.34	2.408	36
2 0 1	37.83	2.378	100
1 1 4	40.22	2.242	86
2 0 3	41.54	2.174	48
2 1 5	59.20	1.561	26
3 0 4	62.86	1.478	23
2 2 0	67.35	1.390	36
2 0 9	67.90	1.380	33

Atomic structure:
Cell: 5.5616 5.5616 15.1609 Å, 90.00 90.00 120.00°
Space group P6_3/mmc (No. 194)
Asymmetric unit:
Y: 0.3333 0.6667 0.0369 x4
Y: 0.3333 0.6667 0.2500 x2
Si: 0.0000 0.0000 0.0000 x2
Si: 0.0000 0.0000 0.2500 x2
Si: 0.3333 0.6667 0.7500 x2
Rh: 0.1665 0.3330 0.6309 x12

---

# 6
For HgO, a DFT-relaxed cell (PBE, the Materials Project) gives the computed XRD peak list in this record (copper Kα).
Neutral-atom scattering factors, no anomalous dispersion.

Top 10 peaks for 10 to 90 degrees two-theta, low angle first:
hkl	Position (°2θ)	d_spacing	Rel. int.
1 0 0	27.48	3.245	20
0 1 1	29.29	3.049	100
0 0 3	30.13	2.966	32
1 0 2	34.20	2.622	72
1 0 3	41.23	2.190	18
0 1 4	49.70	1.834	43
0 2 1	57.75	1.596	16
1 1 3	58.24	1.584	16
2 0 2	60.76	1.524	15
2 1 3	85.71	1.134	16

Atomic structure:
Cell: 3.7473 3.7473 8.8990 Å, 90.00 90.00 120.00°
Space group P3_221 (No. 154)
Asymmetric unit:
Hg: 0.0000 0.2347 0.3333 x3
O: 0.0000 0.5551 0.8333 x3

---

# 7
For KTaPt, a DFT-relaxed cell (PBE, the Materials Project) gives the computed XRD peak list in this record (copper Kα).
Neutral-atom scattering factors, no anomalous dispersion.

Top 10 peaks for 10 to 90 degrees two-theta, low angle first:
hkl	Position (°2θ)	d_spacing	Rel. int.
1 1 1	23.80	3.739	79
2 0 0	27.54	3.238	2
2 2 0	39.35	2.290	100
3 1 1	46.50	1.953	41
4 0 0	56.86	1.619	17
3 3 1	62.51	1.486	17
4 2 2	71.34	1.322	35
5 1 1	76.41	1.246	13
4 4 0	84.65	1.145	11
5 3 1	89.53	1.095	14

Atomic structure:
Cell: 6.477 6.477 6.477 Å, 90.00 90.00 90.00°
Space group F-43m (No. 216)
Asymmetric unit:
K: 0.000 0.000 0.000 x4
Ta: 0.250 0.250 0.750 x4
Pt: 0.000 0.000 0.500 x4